# 1
Structure and calculated X-ray diffraction stick pattern of CsIn3 (a DFT-relaxed cell (PBE, the Materials Project); copper Kα).

Structure:
```
data_CsIn3
_cell_length_a 7.251
_cell_length_b 7.251
_cell_length_c 17.173
_cell_angle_alpha 90.00
_cell_angle_beta 90.00
_cell_angle_gamma 90.00
_symmetry_space_group_name_H-M 'I -4 m 2'
_symmetry_Int_Tables_number 119
_symmetry_space_group_name_Hall 'I -4 -2'
loop_
_atom_site_label
_atom_site_type_symbol
_atom_site_fract_x
_atom_site_fract_y
_atom_site_fract_z
_atom_site_occupancy
Cs1 Cs 0.000 0.000 0.000 1
Cs2 Cs 0.000 0.500 0.628 1
In1 In 0.000 0.000 0.500 1
In2 In 0.000 0.207 0.221 1
In3 In 0.000 0.303 0.391 1
```

Peak list (10 most intense, 2θ from 10° to 90°, in order of rising 2θ)
(1 0 1), d = 6.680 Å, 13.3°, rel. 33
(2 0 0), d = 3.625 Å, 24.6°, rel. 41
(1 1 4), d = 3.292 Å, 27.1°, rel. 100
(2 1 1), d = 3.186 Å, 28.0°, rel. 100
(1 0 5), d = 3.104 Å, 28.8°, rel. 32
(2 0 4), d = 2.770 Å, 32.3°, rel. 24
(2 2 2), d = 2.456 Å, 36.6°, rel. 24
(2 0 6), d = 2.246 Å, 40.1°, rel. 37
(3 1 2), d = 2.215 Å, 40.7°, rel. 32
(5 1 4), d = 1.350 Å, 69.7°, rel. 24

# 2
Structure and calculated X-ray diffraction stick pattern of Mg2V3CrS8 (a DFT-relaxed cell (PBE, the Materials Project); copper Kα).

Structure:
```
data_Mg2V3CrS8
_cell_length_a 7.178
_cell_length_b 7.198
_cell_length_c 7.293
_cell_angle_alpha 60.58
_cell_angle_beta 60.62
_cell_angle_gamma 60.16
_symmetry_space_group_name_H-M 'P -1'
_symmetry_Int_Tables_number 2
loop_
_symmetry_equiv_pos_as_xyz
'x,y,z'
'-x,-y,-z'
loop_
_atom_site_label
_atom_site_type_symbol
_atom_site_fract_x
_atom_site_fract_y
_atom_site_fract_z
_atom_site_occupancy
Mg1 Mg 0.125 0.125 0.124 1
V1 V 0.000 0.500 0.500 1
V2 V 0.500 0.000 0.500 1
V3 V 0.500 0.500 0.500 1
Cr1 Cr 0.500 0.500 0.000 1
S1 S 0.261 0.261 0.716 1
S2 S 0.263 0.264 0.260 1
S3 S 0.264 0.713 0.259 1
S4 S 0.286 0.735 0.741 1
```

Peak list (10 most intense, 2θ from 10° to 90°, in order of rising 2θ)
(0 0 1), d = 6.006 Å, 14.7°, rel. 14
(0 1 0), d = 5.888 Å, 15.0°, rel. 54
(1 1 -1), d = 3.119 Å, 28.6°, rel. 18
(1 2 0), d = 3.087 Å, 28.9°, rel. 29
(2 2 0), d = 2.562 Å, 35.0°, rel. 100
(2 -1 2), d = 1.973 Å, 46.0°, rel. 16
(2 0 -2), d = 1.826 Å, 49.9°, rel. 33
(2 2 4), d = 1.823 Å, 50.0°, rel. 16
(2 4 2), d = 1.800 Å, 50.7°, rel. 31
(4 2 2), d = 1.795 Å, 50.9°, rel. 15

# 3
Structure and calculated X-ray diffraction stick pattern of NaCa2TiSi2O8F (a DFT-relaxed cell (PBE, the Materials Project); copper Kα).

Structure:
```
data_NaCa2TiSi2O8F
_cell_length_a 5.804
_cell_length_b 7.607
_cell_length_c 19.275
_cell_angle_alpha 78.69
_cell_angle_beta 89.71
_cell_angle_gamma 89.97
_symmetry_space_group_name_H-M 'P 1'
_symmetry_Int_Tables_number 1
loop_
_symmetry_equiv_pos_as_xyz
'x,y,z'
loop_
_atom_site_label
_atom_site_type_symbol
_atom_site_fract_x
_atom_site_fract_y
_atom_site_fract_z
_atom_site_occupancy
Na1 Na 0.000 0.000 0.000 1
Na2 Na 0.004 0.496 0.999 1
Na3 Na 0.706 0.451 0.500 1
Na4 Na 0.711 0.997 0.498 1
Ca1 Ca 0.195 0.660 0.178 1
Ca2 Ca 0.203 0.162 0.181 1
Ca3 Ca 0.517 0.167 0.676 1
Ca4 Ca 0.520 0.665 0.674 1
Ca5 Ca 0.794 0.839 0.824 1
Ca6 Ca 0.804 0.335 0.825 1
Ca7 Ca 0.906 0.839 0.331 1
Ca8 Ca 0.909 0.342 0.329 1
Ti1 Ti 0.201 0.182 0.505 1
Ti2 Ti 0.205 0.625 0.503 1
Ti3 Ti 0.446 0.260 0.977 1
Ti4 Ti 0.570 0.733 0.029 1
Si1 Si 0.031 0.914 0.653 1
Si2 Si 0.034 0.447 0.652 1
Si3 Si 0.297 0.055 0.850 1
Si4 Si 0.297 0.592 0.846 1
Si5 Si 0.402 0.065 0.356 1
Si6 Si 0.405 0.597 0.354 1
Si7 Si 0.688 0.402 0.155 1
Si8 Si 0.690 0.936 0.159 1
O1 O 0.014 0.024 0.572 1
O2 O 0.030 0.443 0.568 1
O3 O 0.042 0.090 0.821 1
O4 O 0.042 0.590 0.817 1
O5 O 0.177 0.110 0.308 1
O6 O 0.180 0.596 0.306 1
O7 O 0.270 0.724 0.050 1
O8 O 0.277 0.414 0.689 1
O9 O 0.278 0.907 0.688 1
O10 O 0.300 0.220 0.060 1
O11 O 0.315 0.475 0.926 1
O12 O 0.317 0.086 0.931 1
O13 O 0.370 0.510 0.437 1
O14 O 0.372 0.078 0.439 1
O15 O 0.423 0.714 0.551 1
O16 O 0.441 0.235 0.557 1
O17 O 0.441 0.905 0.193 1
O18 O 0.442 0.404 0.191 1
O19 O 0.528 0.101 0.804 1
O20 O 0.530 0.597 0.801 1
O21 O 0.662 0.098 0.330 1
O22 O 0.662 0.586 0.327 1
O23 O 0.708 0.513 0.075 1
O24 O 0.709 0.777 0.945 1
O25 O 0.719 0.892 0.081 1
O26 O 0.747 0.269 0.956 1
O27 O 0.793 0.916 0.696 1
O28 O 0.795 0.395 0.694 1
O29 O 0.924 0.896 0.204 1
O30 O 0.925 0.406 0.198 1
O31 O 0.973 0.288 0.449 1
O32 O 0.996 0.766 0.453 1
F1 F 0.298 0.813 0.868 1
F2 F 0.401 0.826 0.366 1
F3 F 0.721 0.178 0.136 1
F4 F 0.997 0.692 0.635 1
```

Peak list (10 most intense, 2θ from 10° to 90°, in order of rising 2θ)
(1 0 -1), d = 5.547 Å, 16.0°, rel. 25
(0 0 6), d = 3.150 Å, 28.3°, rel. 91
(1 -2 0), d = 3.137 Å, 28.4°, rel. 99
(1 2 3), d = 3.015 Å, 29.6°, rel. 100
(1 -2 2), d = 2.840 Å, 31.5°, rel. 32
(2 0 2), d = 2.775 Å, 32.3°, rel. 22
(2 0 3), d = 2.640 Å, 34.0°, rel. 40
(2 0 -3), d = 2.631 Å, 34.1°, rel. 21
(2 2 1), d = 2.307 Å, 39.0°, rel. 24
(0 4 2), d = 1.901 Å, 47.8°, rel. 48

# 4
Structure and calculated X-ray diffraction stick pattern of Eu2Co4Si3Ge (a DFT-relaxed cell (PBE, the Materials Project); copper Kα).

Structure:
```
data_Eu2Co4Si3Ge
_cell_length_a 3.928
_cell_length_b 3.928
_cell_length_c 10.234
_cell_angle_alpha 90.00
_cell_angle_beta 90.00
_cell_angle_gamma 90.00
_symmetry_space_group_name_H-M 'P 4 m m'
_symmetry_Int_Tables_number 99
loop_
_symmetry_equiv_pos_as_xyz
'x,y,z'
'-y,x,z'
'-x,-y,z'
'y,-x,z'
'-x,y,z'
'y,x,z'
'x,-y,z'
'-y,-x,z'
loop_
_atom_site_label
_atom_site_type_symbol
_atom_site_fract_x
_atom_site_fract_y
_atom_site_fract_z
_atom_site_occupancy
Eu1 Eu 0.000 0.000 0.000 1
Eu2 Eu 0.500 0.500 0.496 1
Co1 Co 0.000 0.500 0.248 1
Co2 Co 0.000 0.500 0.755 1
Si1 Si 0.000 0.000 0.358 1
Si2 Si 0.500 0.500 0.135 1
Si3 Si 0.500 0.500 0.865 1
Ge1 Ge 0.000 0.000 0.629 1
```

Peak list (10 most intense, 2θ from 10° to 90°, in order of rising 2θ)
(1 0 1), d = 3.667 Å, 24.3°, rel. 39
(1 0 3), d = 2.576 Å, 34.8°, rel. 77
(0 0 4), d = 2.558 Å, 35.1°, rel. 16
(1 1 2), d = 2.441 Å, 36.8°, rel. 100
(2 0 0), d = 1.964 Å, 46.2°, rel. 45
(1 0 5), d = 1.815 Å, 50.3°, rel. 21
(2 1 3), d = 1.562 Å, 59.2°, rel. 33
(1 1 6), d = 1.453 Å, 64.1°, rel. 24
(2 1 5), d = 1.333 Å, 70.7°, rel. 15
(3 1 2), d = 1.207 Å, 79.4°, rel. 20

# 5
Structure and calculated X-ray diffraction stick pattern of GaP (a DFT-relaxed cell (PBE, the Materials Project); copper Kα).

Structure:
```
data_GaP
_cell_length_a 3.8804
_cell_length_b 3.8804
_cell_length_c 6.3954
_cell_angle_alpha 90.00
_cell_angle_beta 90.00
_cell_angle_gamma 120.00
_symmetry_space_group_name_H-M 'P 63 m c'
_symmetry_Int_Tables_number 186
_symmetry_space_group_name_Hall 'P 6c -2c'
loop_
_atom_site_label
_atom_site_type_symbol
_atom_site_fract_x
_atom_site_fract_y
_atom_site_fract_z
_atom_site_occupancy
Ga1 Ga 0.3333 0.6667 0.0000 1
P1 P 0.3333 0.6667 0.6259 1
```

Peak list (10 most intense, 2θ from 10° to 90°, in order of rising 2θ)
(1 0 0), d = 3.360 Å, 26.5°, rel. 81
(0 0 2), d = 3.198 Å, 27.9°, rel. 54
(1 0 1), d = 2.975 Å, 30.0°, rel. 100
(1 0 2), d = 2.317 Å, 38.9°, rel. 33
(1 1 0), d = 1.940 Å, 46.8°, rel. 65
(1 0 3), d = 1.800 Å, 50.7°, rel. 67
(1 1 2), d = 1.659 Å, 55.4°, rel. 45
(2 0 3), d = 1.320 Å, 71.5°, rel. 23
(1 0 5), d = 1.195 Å, 80.3°, rel. 17
(2 1 3), d = 1.091 Å, 89.9°, rel. 26

# 6
Structure and calculated X-ray diffraction stick pattern of Ca5Ge2O10 (a DFT-relaxed cell (PBE, the Materials Project); copper Kα).

Structure:
```
data_Ca5Ge2O10
_cell_length_a 9.038
_cell_length_b 5.265
_cell_length_c 11.695
_cell_angle_alpha 90.00
_cell_angle_beta 108.93
_cell_angle_gamma 90.00
_symmetry_space_group_name_H-M 'P 1 21/c 1'
_symmetry_Int_Tables_number 14
loop_
_symmetry_equiv_pos_as_xyz
'x,y,z'
'-x,-y,-z'
'-x,y+1/2,-z+1/2'
'x,-y+1/2,z+1/2'
loop_
_atom_site_label
_atom_site_type_symbol
_atom_site_fract_x
_atom_site_fract_y
_atom_site_fract_z
_atom_site_occupancy
Ca1 Ca 0.000 0.000 0.000 1
Ca2 Ca 0.191 0.000 0.329 1
Ca3 Ca 0.420 0.006 0.118 1
Ge1 Ge 0.201 0.568 0.145 1
O1 O 0.034 0.716 0.168 1
O2 O 0.201 0.234 0.147 1
O3 O 0.207 0.716 0.007 1
O4 O 0.363 0.713 0.258 1
O5 O 0.396 0.236 0.940 1
```

Peak list (10 most intense, 2θ from 10° to 90°, in order of rising 2θ)
(1 0 -2), d = 5.534 Å, 16.0°, rel. 81
(1 0 2), d = 4.081 Å, 21.8°, rel. 61
(2 1 -1), d = 3.425 Å, 26.0°, rel. 40
(0 1 3), d = 3.020 Å, 29.6°, rel. 72
(2 1 1), d = 2.979 Å, 30.0°, rel. 93
(2 1 -3), d = 2.849 Å, 31.4°, rel. 100
(1 1 3), d = 2.635 Å, 34.0°, rel. 56
(3 1 -1), d = 2.610 Å, 34.4°, rel. 61
(2 2 2), d = 1.965 Å, 46.2°, rel. 52
(4 0 -6), d = 1.693 Å, 54.2°, rel. 68

# 7
Structure and calculated X-ray diffraction stick pattern of Rb3Li (a DFT-relaxed cell (PBE, the Materials Project); copper Kα).

Structure:
```
data_Rb3Li
_cell_length_a 10.299
_cell_length_b 10.299
_cell_length_c 10.299
_cell_angle_alpha 90.00
_cell_angle_beta 90.00
_cell_angle_gamma 90.00
_symmetry_space_group_name_H-M 'F m -3 m'
_symmetry_Int_Tables_number 225
_symmetry_space_group_name_Hall '-F 4 2 3'
loop_
_atom_site_label
_atom_site_type_symbol
_atom_site_fract_x
_atom_site_fract_y
_atom_site_fract_z
_atom_site_occupancy
Rb1 Rb 0.000 0.000 0.000 1
Rb2 Rb 0.250 0.250 0.250 1
Li1 Li 0.000 0.000 0.500 1
```

Peak list (10 most intense, 2θ from 10° to 90°, in order of rising 2θ)
(1 1 1), d = 5.946 Å, 14.9°, rel. 20
(2 0 0), d = 5.150 Å, 17.2°, rel. 11
(2 2 0), d = 3.641 Å, 24.4°, rel. 100
(3 1 1), d = 3.105 Å, 28.7°, rel. 12
(4 0 0), d = 2.575 Å, 34.8°, rel. 20
(4 2 2), d = 2.102 Å, 43.0°, rel. 43
(4 4 0), d = 1.821 Å, 50.1°, rel. 14
(6 2 0), d = 1.628 Å, 56.5°, rel. 19
(6 4 2), d = 1.376 Å, 68.1°, rel. 22
(8 2 2), d = 1.214 Å, 78.9°, rel. 11

# 8
Structure and calculated X-ray diffraction stick pattern of CdCu2SnS4 (a DFT-relaxed cell (PBE, the Materials Project); copper Kα).

Structure:
```
data_CdCu2SnS4
_cell_length_a 5.618
_cell_length_b 5.618
_cell_length_c 10.987
_cell_angle_alpha 90.00
_cell_angle_beta 90.00
_cell_angle_gamma 90.00
_symmetry_space_group_name_H-M 'I -4 2 m'
_symmetry_Int_Tables_number 121
_symmetry_space_group_name_Hall 'I -4 2'
loop_
_atom_site_label
_atom_site_type_symbol
_atom_site_fract_x
_atom_site_fract_y
_atom_site_fract_z
_atom_site_occupancy
Cd1 Cd 0.000 0.000 0.000 1
Cu1 Cu 0.000 0.500 0.250 1
Sn1 Sn 0.000 0.000 0.500 1
S1 S 0.242 0.242 0.360 1
```

Peak list (10 most intense, 2θ from 10° to 90°, in order of rising 2θ)
(1 1 2), d = 3.219 Å, 27.7°, rel. 100
(2 0 0), d = 2.809 Å, 31.9°, rel. 13
(0 0 4), d = 2.747 Å, 32.6°, rel. 7
(2 2 0), d = 1.986 Å, 45.7°, rel. 20
(2 0 4), d = 1.964 Å, 46.2°, rel. 37
(3 1 2), d = 1.690 Å, 54.3°, rel. 29
(1 1 6), d = 1.663 Å, 55.2°, rel. 13
(4 0 0), d = 1.405 Å, 66.6°, rel. 6
(3 1 6), d = 1.275 Å, 74.4°, rel. 11
(4 2 4), d = 1.142 Å, 84.9°, rel. 12

# 9
Structure and calculated X-ray diffraction stick pattern of YScS2 (a DFT-relaxed cell (PBE, the Materials Project); copper Kα).

Structure:
```
data_YScS2
_cell_length_a 3.8022
_cell_length_b 3.8022
_cell_length_c 18.7905
_cell_angle_alpha 90.00
_cell_angle_beta 90.00
_cell_angle_gamma 120.00
_symmetry_space_group_name_H-M 'R -3 m'
_symmetry_Int_Tables_number 166
_symmetry_space_group_name_Hall '-R 3 2"'
loop_
_atom_site_label
_atom_site_type_symbol
_atom_site_fract_x
_atom_site_fract_y
_atom_site_fract_z
_atom_site_occupancy
Y1 Y 0.0000 0.0000 0.0000 1
Sc1 Sc 0.0000 0.0000 0.5000 1
S1 S 0.0000 0.0000 0.2440 1
```

Peak list (10 most intense, 2θ from 10° to 90°, in order of rising 2θ)
(1 0 1), d = 3.243 Å, 27.5°, rel. 9
(0 1 2), d = 3.107 Å, 28.7°, rel. 17
(1 0 4), d = 2.696 Å, 33.2°, rel. 100
(0 1 8), d = 1.912 Å, 47.6°, rel. 33
(1 1 0), d = 1.901 Å, 47.8°, rel. 33
(0 2 4), d = 1.554 Å, 59.5°, rel. 17
(2 0 8), d = 1.348 Å, 69.8°, rel. 10
(1 1 12), d = 1.209 Å, 79.3°, rel. 13
(2 1 4), d = 1.203 Å, 79.7°, rel. 14
(1 2 8), d = 1.100 Å, 89.0°, rel. 11

# 10
Structure and calculated X-ray diffraction stick pattern of MnCu2Cl4 (a DFT-relaxed cell (PBE, the Materials Project); copper Kα).

Structure:
```
data_MnCu2Cl4
_cell_length_a 3.847
_cell_length_b 10.511
_cell_length_c 7.556
_cell_angle_alpha 90.00
_cell_angle_beta 90.00
_cell_angle_gamma 90.00
_symmetry_space_group_name_H-M 'A m m 2'
_symmetry_Int_Tables_number 38
loop_
_symmetry_equiv_pos_as_xyz
'x,y,z'
'-x,-y,z'
'-x,y,z'
'x,-y,z'
'x,y+1/2,z+1/2'
'-x,-y+1/2,z+1/2'
'-x,y+1/2,z+1/2'
'x,-y+1/2,z+1/2'
loop_
_atom_site_label
_atom_site_type_symbol
_atom_site_fract_x
_atom_site_fract_y
_atom_site_fract_z
_atom_site_occupancy
Mn1 Mn 0.000 0.000 0.000 1
Cu1 Cu 0.500 0.171 0.445 1
Cl1 Cl 0.000 0.238 0.034 1
Cl2 Cl 0.500 0.000 0.262 1
Cl3 Cl 0.500 0.000 0.796 1
```

Peak list (10 most intense, 2θ from 10° to 90°, in order of rising 2θ)
(0 0 2), d = 3.778 Å, 23.5°, rel. 77
(1 1 1), d = 3.259 Å, 27.4°, rel. 89
(0 3 1), d = 3.179 Å, 28.1°, rel. 100
(0 2 2), d = 3.068 Å, 29.1°, rel. 49
(1 0 2), d = 2.696 Å, 33.2°, rel. 51
(1 3 1), d = 2.450 Å, 36.7°, rel. 36
(1 2 2), d = 2.399 Å, 37.5°, rel. 44
(2 0 0), d = 1.924 Å, 47.3°, rel. 37
(1 4 2), d = 1.882 Å, 48.4°, rel. 60
(2 3 1), d = 1.646 Å, 55.9°, rel. 27

What did the fourth record say?
Structure and calculated X-ray diffraction stick pattern of Eu2Co4Si3Ge (a DFT-relaxed cell (PBE, the Materials Project); copper Kα).

Structure:
```
data_Eu2Co4Si3Ge
_cell_length_a 3.928
_cell_length_b 3.928
_cell_length_c 10.234
_cell_angle_alpha 90.00
_cell_angle_beta 90.00
_cell_angle_gamma 90.00
_symmetry_space_group_name_H-M 'P 4 m m'
_symmetry_Int_Tables_number 99
loop_
_symmetry_equiv_pos_as_xyz
'x,y,z'
'-y,x,z'
'-x,-y,z'
'y,-x,z'
'-x,y,z'
'y,x,z'
'x,-y,z'
'-y,-x,z'
loop_
_atom_site_label
_atom_site_type_symbol
_atom_site_fract_x
_atom_site_fract_y
_atom_site_fract_z
_atom_site_occupancy
Eu1 Eu 0.000 0.000 0.000 1
Eu2 Eu 0.500 0.500 0.496 1
Co1 Co 0.000 0.500 0.248 1
Co2 Co 0.000 0.500 0.755 1
Si1 Si 0.000 0.000 0.358 1
Si2 Si 0.500 0.500 0.135 1
Si3 Si 0.500 0.500 0.865 1
Ge1 Ge 0.000 0.000 0.629 1
```

Peak list (10 most intense, 2θ from 10° to 90°, in order of rising 2θ)
(1 0 1), d = 3.667 Å, 24.3°, rel. 39
(1 0 3), d = 2.576 Å, 34.8°, rel. 77
(0 0 4), d = 2.558 Å, 35.1°, rel. 16
(1 1 2), d = 2.441 Å, 36.8°, rel. 100
(2 0 0), d = 1.964 Å, 46.2°, rel. 45
(1 0 5), d = 1.815 Å, 50.3°, rel. 21
(2 1 3), d = 1.562 Å, 59.2°, rel. 33
(1 1 6), d = 1.453 Å, 64.1°, rel. 24
(2 1 5), d = 1.333 Å, 70.7°, rel. 15
(3 1 2), d = 1.207 Å, 79.4°, rel. 20